[1]
Simulated powder diffractogram
Compound: RbV2F6
Radiation: λ = 1.5418 Å (Cu Kα)
Structure: the PBE+U geometry in Alexandria
Peak positions follow from Bragg's law for the DFT cell and can differ from measured ones.

Cell and atoms:
```
data_RbV2F6
_cell_length_a 5.5656
_cell_length_b 5.5656
_cell_length_c 5.9847
_cell_angle_alpha 90.00
_cell_angle_beta 90.00
_cell_angle_gamma 120.00
_space_group_name_H-M_alt 'P -3 1 m'
_space_group_IT_number 162
_space_group_name_Hall '-P 3 2'
loop_
_atom_site_label
_atom_site_fract_x
_atom_site_fract_y
_atom_site_fract_z
Rb1 0.0000 0.0000 0.0000
V1 0.3333 0.6667 0.5000
F1 0.0000 0.3823 0.6828
```

Most intense lines, 2θ = 5–70°, low angle first:
2θ 14.80, I 12
2θ 23.70, I 100
2θ 32.17, I 18
2θ 35.58, I 12
2θ 40.34, I 16
2θ 44.46, I 45
2θ 52.51, I 20
2θ 57.35, I 13

---

[2]
Simulated powder diffractogram
Compound: RbVF3
Radiation: λ = 1.5418 Å (Cu Kα)
Structure: the PBE+U geometry in Alexandria
Peak positions follow from Bragg's law for the DFT cell and can differ from measured ones.

Cell and atoms:
```
data_RbVF3
_cell_length_a 5.684
_cell_length_b 6.094
_cell_length_c 6.094
_cell_angle_alpha 60.00
_cell_angle_beta 89.93
_cell_angle_gamma 89.92
_space_group_name_H-M_alt 'P -1'
_space_group_IT_number 2
loop_
_space_group_symop_operation_xyz
'x,y,z'
'-x,-y,-z'
loop_
_atom_site_label
_atom_site_fract_x
_atom_site_fract_y
_atom_site_fract_z
Rb1 0.250 0.167 0.167
V1 0.000 0.500 0.500
V2 0.500 0.500 0.500
F1 0.250 0.202 0.650
F2 0.250 0.648 0.202
F3 0.250 0.650 0.648
```

Most intense lines, 2θ = 5–70°, low angle first:
2θ 23.00, I 90
2θ 29.31, I 92
2θ 35.89, I 43
2θ 37.58, I 100
2θ 46.99, I 48
2θ 56.35, I 36
2θ 60.12, I 22
2θ 60.80, I 24